Computed X-ray diffraction stick pattern of LiNbSn3P6O24 for a wavelength of 1.5418 Å, from a DFT-relaxed cell (PBE, the Materials Project).

Cell and atoms:
Unit cell a=9.000 b=9.000 c=9.000 alpha=58.33 beta=58.33 gamma=58.33
Element x y z (fractional)
Li 0.000 0.000 0.000
Nb 0.849 0.849 0.849
Sn 0.139 0.139 0.139
Sn 0.352 0.352 0.352
Sn 0.636 0.636 0.636
P 0.031 0.448 0.746
P 0.245 0.955 0.533
P 0.448 0.746 0.031
P 0.533 0.245 0.955
P 0.746 0.031 0.448
P 0.955 0.533 0.245
O 0.055 0.264 0.914
O 0.072 0.927 0.716
O 0.125 0.511 0.265
O 0.207 0.981 0.372
O 0.209 0.438 0.575
O 0.264 0.914 0.055
O 0.265 0.125 0.511
O 0.372 0.207 0.981
O 0.410 0.777 0.558
O 0.438 0.575 0.209
O 0.475 0.715 0.865
O 0.511 0.265 0.125
O 0.558 0.410 0.777
O 0.575 0.209 0.438
O 0.615 0.792 0.988
O 0.715 0.865 0.475
O 0.716 0.072 0.927
O 0.777 0.558 0.410
O 0.792 0.988 0.615
O 0.865 0.475 0.715
O 0.914 0.055 0.264
O 0.927 0.716 0.072
O 0.981 0.372 0.207
O 0.988 0.615 0.792

Peak list (10 most intense, 10 to 90 degrees two-theta, low angle first)
d/Å	I/Imax
6.280	359
4.497	1000
4.386	791
3.778	553
3.140	610
2.837	501
2.553	330
2.532	317
1.762	236
1.658	228

=====

Computed X-ray diffraction stick pattern of LiNbSn3P6O24 for a wavelength of 1.5418 Å, from a DFT-relaxed cell (PBE, the Materials Project).

Cell and atoms:
Unit cell a=8.823 b=8.834 c=8.860 alpha=89.98 beta=60.24 gamma=60.16
Element x y z (fractional)
Li 0.000 0.000 0.000
Nb 0.800 0.417 0.161
Sn 0.365 0.127 0.321
Sn 0.379 0.616 0.812
Sn 0.804 0.908 0.653
P 0.290 0.809 0.495
P 0.302 0.018 0.983
P 0.587 0.226 0.485
P 0.588 0.302 0.984
P 0.865 0.740 0.995
P 0.874 0.518 0.493
O 0.046 0.746 0.977
O 0.071 0.364 0.480
O 0.093 0.176 0.003
O 0.123 0.795 0.497
O 0.254 0.995 0.484
O 0.279 0.854 0.983
O 0.292 0.068 0.153
O 0.292 0.786 0.667
O 0.412 0.478 0.988
O 0.432 0.191 0.489
O 0.449 0.396 0.655
O 0.481 0.258 0.158
O 0.491 0.989 0.803
O 0.510 0.644 0.321
O 0.662 0.884 0.181
O 0.679 0.549 0.671
O 0.707 0.265 0.306
O 0.735 0.345 0.997
O 0.737 0.136 0.808
O 0.766 0.054 0.482
O 0.848 0.769 0.832
O 0.871 0.692 0.485
O 0.874 0.462 0.324
O 0.907 0.547 0.004

Peak list (10 most intense, 10 to 90 degrees two-theta, low angle first)
d/Å	I/Imax
6.264	290
4.439	1000
4.417	711
3.773	422
3.133	384
3.127	201
2.812	192
2.552	439
1.979	251
1.672	202

=====

Computed X-ray diffraction stick pattern of LiTi3NbP6O24 for a wavelength of 1.5418 Å, from a DFT-relaxed cell (PBE, the Materials Project).

Cell and atoms:
Unit cell a=8.873 b=8.873 c=8.873 alpha=58.48 beta=58.48 gamma=58.48
Element x y z (fractional)
Li 0.000 0.000 0.000
Ti 0.140 0.140 0.140
Ti 0.355 0.355 0.355
Ti 0.635 0.635 0.635
Nb 0.851 0.851 0.851
P 0.029 0.451 0.745
P 0.250 0.962 0.527
P 0.451 0.745 0.029
P 0.527 0.250 0.962
P 0.745 0.029 0.451
P 0.962 0.527 0.250
O 0.055 0.271 0.918
O 0.075 0.934 0.712
O 0.133 0.498 0.276
O 0.209 0.431 0.573
O 0.209 0.993 0.362
O 0.271 0.918 0.055
O 0.276 0.133 0.498
O 0.362 0.209 0.993
O 0.418 0.782 0.555
O 0.431 0.573 0.209
O 0.490 0.715 0.857
O 0.498 0.276 0.133
O 0.555 0.418 0.782
O 0.573 0.209 0.431
O 0.623 0.781 0.998
O 0.712 0.075 0.934
O 0.715 0.857 0.490
O 0.781 0.998 0.623
O 0.782 0.555 0.418
O 0.857 0.490 0.715
O 0.918 0.055 0.271
O 0.934 0.712 0.075
O 0.993 0.362 0.209
O 0.998 0.623 0.781

Peak list (10 most intense, 10 to 90 degrees two-theta, low angle first)
d/Å	I/Imax
6.199	433
4.434	582
4.334	337
3.730	1000
3.100	445
2.814	162
2.798	354
2.502	154
1.737	202
1.638	134